1.
This entry pairs a crystal structure of HoHfCS with its computed powder XRD pattern. Radiation: Cu Kα (λ = 1.5418 Å). Structure: the GGA-PBE geometry in OQMD.
Intensities are scaled so that the largest is 100.

Crystal structure
a = 3.516 Å, b = 3.516 Å, c = 12.495 Å
α = 90.00°, β = 90.00°, γ = 120.00°
Element x y z (fractional)
Ho  0.333  0.667  0.108
Ho  0.667  0.333  0.892
Hf  0.333  0.667  0.405
Hf  0.667  0.333  0.595
C  0.000  0.000  0.000
C  0.000  0.000  0.500
S  0.333  0.667  0.733
S  0.667  0.333  0.267

Largest 8 diffraction maxima, low angle first, 2θ = 10–90°:
two_theta  intensity
28.58  19
29.33  30
30.21  38
36.56  100
52.02  29
60.08  17
65.25  18
88.05  17

---

2.
This entry pairs a crystal structure of HoHfCS with its computed powder XRD pattern. Radiation: Cu Kα (λ = 1.5418 Å). Structure: the GGA-PBE geometry in OQMD.
Intensities are scaled so that the largest is 100.

Crystal structure
a = 3.505 Å, b = 3.505 Å, c = 12.498 Å
α = 90.00°, β = 90.00°, γ = 120.00°
Element x y z (fractional)
Ho  0.000  0.000  0.151
Ho  0.000  0.000  0.849
Hf  0.667  0.333  0.357
Hf  0.667  0.333  0.643
C  0.333  0.667  0.269
C  0.333  0.667  0.731
S  0.000  0.000  0.500
S  0.667  0.333  0.000

Largest 8 diffraction maxima, low angle first, 2θ = 10–90°:
two_theta  intensity
28.57  20
29.43  30
30.30  39
36.63  100
52.20  29
60.13  18
65.45  18
88.37  17

---

3.
This entry pairs a crystal structure of Hf4Nb2In3C3 with its computed powder XRD pattern. Radiation: Cu Kα (λ = 1.5418 Å). Structure: the GGA-PBE geometry in OQMD.
Intensities are scaled so that the largest is 100.

Crystal structure
a = 5.678 Å, b = 5.678 Å, c = 15.064 Å
α = 100.86°, β = 100.86°, γ = 60.04°
Element x y z (fractional)
Hf  0.031  0.193  0.085
Hf  0.136  0.305  0.415
Hf  0.193  0.031  0.585
Hf  0.305  0.136  0.915
Hf  0.695  0.864  0.085
Hf  0.807  0.969  0.415
Hf  0.864  0.695  0.585
Hf  0.969  0.807  0.915
Nb  0.357  0.526  0.078
Nb  0.474  0.643  0.422
Nb  0.526  0.357  0.578
Nb  0.643  0.474  0.922
In  0.097  0.903  0.250
In  0.263  0.417  0.751
In  0.417  0.263  0.251
In  0.583  0.737  0.749
In  0.737  0.583  0.249
In  0.903  0.097  0.750
C  0.000  0.500  0.000
C  0.167  0.667  0.500
C  0.333  0.833  0.000
C  0.500  0.000  0.500
C  0.667  0.167  0.000
C  0.833  0.333  0.500

Largest 8 diffraction maxima, low angle first, 2θ = 10–90°:
two_theta  intensity
31.51  22
36.58  100
36.67  21
49.11  16
56.09  13
56.13  7
65.97  17
68.88  28

---

4.
This entry pairs a crystal structure of Hf4InC2S with its computed powder XRD pattern. Radiation: Cu Kα (λ = 1.5418 Å). Structure: the GGA-PBE geometry in OQMD.
Intensities are scaled so that the largest is 100.

Crystal structure
a = 3.351 Å, b = 3.351 Å, c = 13.445 Å
α = 90.00°, β = 90.00°, γ = 120.00°
Element x y z (fractional)
Hf  0.000  0.000  0.135
Hf  0.000  0.000  0.865
Hf  0.333  0.667  0.316
Hf  0.333  0.667  0.684
In  0.000  0.000  0.500
C  0.667  0.333  0.226
C  0.667  0.333  0.774
S  0.333  0.667  0.000

Largest 8 diffraction maxima, low angle first, 2θ = 10–90°:
two_theta  intensity
30.81  30
31.54  12
33.32  14
33.64  17
36.90  100
54.79  27
64.02  19
67.90  17

---

5.
This entry pairs a crystal structure of Hf2In3W4C3 with its computed powder XRD pattern. Radiation: Cu Kα (λ = 1.5418 Å). Structure: the GGA-PBE geometry in OQMD.
Intensities are scaled so that the largest is 100.

Crystal structure
a = 5.538 Å, b = 5.538 Å, c = 14.479 Å
α = 101.18°, β = 101.18°, γ = 60.18°
Element x y z (fractional)
Hf  0.031  0.865  0.592
Hf  0.135  0.969  0.908
Hf  0.865  0.031  0.092
Hf  0.969  0.135  0.408
In  0.084  0.283  0.750
In  0.283  0.084  0.250
In  0.451  0.549  0.750
In  0.549  0.451  0.250
In  0.717  0.916  0.750
In  0.916  0.717  0.250
W  0.194  0.358  0.076
W  0.307  0.474  0.424
W  0.358  0.194  0.576
W  0.474  0.307  0.924
W  0.526  0.693  0.076
W  0.642  0.806  0.424
W  0.693  0.526  0.576
W  0.806  0.642  0.924
C  0.000  0.500  0.500
C  0.165  0.669  0.000
C  0.331  0.835  0.500
C  0.500  0.000  0.000
C  0.669  0.165  0.500
C  0.835  0.331  0.000

Largest 8 diffraction maxima, low angle first, 2θ = 10–90°:
two_theta  intensity
12.55  14
32.30  35
37.63  100
37.75  50
38.27  30
50.87  14
57.54  20
68.73  15

---

6.
This entry pairs a crystal structure of HfIr3C4 with its computed powder XRD pattern. Radiation: Cu Kα (λ = 1.5418 Å). Structure: the GGA-PBE geometry in OQMD.
Intensities are scaled so that the largest is 100.

Crystal structure
a = 8.872 Å, b = 8.872 Å, c = 2.885 Å
α = 90.00°, β = 90.00°, γ = 120.00°
Element x y z (fractional)
Hf  0.333  0.667  0.250
Hf  0.667  0.333  0.750
Ir  0.015  0.707  0.250
Ir  0.293  0.308  0.250
Ir  0.308  0.015  0.750
Ir  0.692  0.985  0.250
Ir  0.707  0.692  0.750
Ir  0.985  0.293  0.750
C  0.000  0.000  0.000
C  0.000  0.000  0.500
C  0.189  0.751  0.750
C  0.249  0.438  0.750
C  0.438  0.189  0.250
C  0.562  0.811  0.750
C  0.751  0.562  0.250
C  0.811  0.249  0.250

Largest 8 diffraction maxima, low angle first, 2θ = 10–90°:
two_theta  intensity
23.15  28
35.04  100
37.18  84
44.26  28
52.01  25
53.46  17
64.26  19
75.68  21

---

7.
This entry pairs a crystal structure of Lu2Hf4P3C3 with its computed powder XRD pattern. Radiation: Cu Kα (λ = 1.5418 Å). Structure: the GGA-PBE geometry in OQMD.
Intensities are scaled so that the largest is 100.

Crystal structure
a = 6.044 Å, b = 6.044 Å, c = 12.662 Å
α = 103.80°, β = 103.80°, γ = 60.08°
Element x y z (fractional)
Lu  0.037  0.873  0.609
Lu  0.127  0.963  0.891
Lu  0.873  0.037  0.109
Lu  0.963  0.127  0.391
Hf  0.202  0.366  0.103
Hf  0.297  0.467  0.397
Hf  0.366  0.202  0.603
Hf  0.467  0.297  0.897
Hf  0.533  0.703  0.103
Hf  0.634  0.798  0.397
Hf  0.703  0.533  0.603
Hf  0.798  0.634  0.897
P  0.083  0.265  0.751
P  0.265  0.083  0.251
P  0.429  0.571  0.750
P  0.571  0.429  0.250
P  0.735  0.917  0.749
P  0.917  0.735  0.249
C  0.000  0.500  0.500
C  0.177  0.647  0.000
C  0.353  0.823  0.500
C  0.500  0.000  0.000
C  0.647  0.177  0.500
C  0.823  0.353  0.000

Largest 8 diffraction maxima, low angle first, 2θ = 10–90°:
two_theta  intensity
29.35  23
29.55  32
30.47  46
37.09  100
52.42  30
61.22  20
61.52  19
65.95  19

---

8.
This entry pairs a crystal structure of HfC2N4 with its computed powder XRD pattern. Radiation: Cu Kα (λ = 1.5418 Å). Structure: the GGA-PBE geometry in OQMD.
Intensities are scaled so that the largest is 100.

Crystal structure
a = 9.561 Å, b = 7.721 Å, c = 5.777 Å
α = 90.00°, β = 90.00°, γ = 90.00°
Element x y z (fractional)
Hf  0.000  0.127  0.250
Hf  0.000  0.873  0.750
Hf  0.500  0.373  0.750
Hf  0.500  0.627  0.250
C  0.237  0.133  0.609
C  0.237  0.867  0.109
C  0.263  0.367  0.109
C  0.263  0.633  0.609
C  0.737  0.367  0.391
C  0.737  0.633  0.891
C  0.763  0.133  0.891
C  0.763  0.867  0.391
N  0.119  0.073  0.560
N  0.119  0.927  0.060
N  0.149  0.310  0.155
N  0.149  0.690  0.655
N  0.351  0.190  0.655
N  0.351  0.810  0.155
N  0.381  0.427  0.060
N  0.381  0.573  0.560
N  0.619  0.427  0.440
N  0.619  0.573  0.940
N  0.649  0.190  0.845
N  0.649  0.810  0.345
N  0.851  0.310  0.345
N  0.851  0.690  0.845
N  0.881  0.073  0.940
N  0.881  0.927  0.440

Largest 8 diffraction maxima, low angle first, 2θ = 10–90°:
two_theta  intensity
14.75  100
18.56  32
21.34  82
27.80  22
33.63  54
34.17  17
36.34  18
47.42  19

---

9.
This entry pairs a crystal structure of Hf3SiCN with its computed powder XRD pattern. Radiation: Cu Kα (λ = 1.5418 Å). Structure: the GGA-PBE geometry in OQMD.
Intensities are scaled so that the largest is 100.

Crystal structure
a = 3.235 Å, b = 3.235 Å, c = 18.708 Å
α = 90.00°, β = 90.00°, γ = 120.00°
Element x y z (fractional)
Hf  0.000  0.000  0.000
Hf  0.000  0.000  0.500
Hf  0.333  0.667  0.139
Hf  0.333  0.667  0.360
Hf  0.667  0.333  0.640
Hf  0.667  0.333  0.861
Si  0.000  0.000  0.249
Si  0.000  0.000  0.751
C  0.333  0.667  0.574
C  0.667  0.333  0.426
N  0.333  0.667  0.931
N  0.667  0.333  0.069

Largest 8 diffraction maxima, low angle first, 2θ = 10–90°:
two_theta  intensity
32.31  54
33.39  29
37.42  100
38.50  23
40.21  54
55.01  24
56.93  36
70.83  23

---

10.
This entry pairs a crystal structure of Hf4Si2CN with its computed powder XRD pattern. Radiation: Cu Kα (λ = 1.5418 Å). Structure: the GGA-PBE geometry in OQMD.
Intensities are scaled so that the largest is 100.

Crystal structure
a = 3.237 Å, b = 3.237 Å, c = 13.394 Å
α = 90.00°, β = 90.00°, γ = 120.00°
Element x y z (fractional)
Hf  0.333  0.667  0.096
Hf  0.333  0.667  0.406
Hf  0.667  0.333  0.594
Hf  0.667  0.333  0.904
Si  0.333  0.667  0.749
Si  0.667  0.333  0.251
C  0.000  0.000  0.000
N  0.000  0.000  0.500

Largest 8 diffraction maxima, low angle first, 2θ = 10–90°:
two_theta  intensity
13.22  26
26.62  18
31.93  24
32.64  31
37.90  100
56.89  23
70.41  16
72.08  17

---

11.
This entry pairs a crystal structure of Hf3SnCN with its computed powder XRD pattern. Radiation: Cu Kα (λ = 1.5418 Å). Structure: the GGA-PBE geometry in OQMD.
Intensities are scaled so that the largest is 100.

Crystal structure
a = 3.267 Å, b = 3.267 Å, c = 19.908 Å
α = 90.00°, β = 90.00°, γ = 120.00°
Element x y z (fractional)
Hf  0.000  0.000  0.000
Hf  0.000  0.000  0.500
Hf  0.333  0.667  0.130
Hf  0.333  0.667  0.371
Hf  0.667  0.333  0.629
Hf  0.667  0.333  0.870
Sn  0.000  0.000  0.250
Sn  0.000  0.000  0.750
C  0.333  0.667  0.569
C  0.667  0.333  0.431
N  0.333  0.667  0.936
N  0.667  0.333  0.064

Largest 8 diffraction maxima, low angle first, 2θ = 10–90°:
two_theta  intensity
31.95  29
34.46  16
36.09  29
36.53  100
39.05  25
56.31  29
65.19  18
68.73  28

---

12.
This entry pairs a crystal structure of Hf8Tl2C3N3 with its computed powder XRD pattern. Radiation: Cu Kα (λ = 1.5418 Å). Structure: the GGA-PBE geometry in OQMD.
Intensities are scaled so that the largest is 100.

Crystal structure
a = 3.289 Å, b = 3.289 Å, c = 25.173 Å
α = 90.00°, β = 90.00°, γ = 120.00°
Element x y z (fractional)
Hf  0.000  0.000  0.149
Hf  0.000  0.000  0.346
Hf  0.000  0.000  0.654
Hf  0.000  0.000  0.851
Hf  0.333  0.667  0.551
Hf  0.333  0.667  0.948
Hf  0.667  0.333  0.052
Hf  0.667  0.333  0.449
Tl  0.333  0.667  0.753
Tl  0.667  0.333  0.247
C  0.000  0.000  0.500
C  0.333  0.667  0.391
C  0.667  0.333  0.609
N  0.000  0.000  0.000
N  0.333  0.667  0.102
N  0.667  0.333  0.898

Largest 8 diffraction maxima, low angle first, 2θ = 10–90°:
two_theta  intensity
31.61  41
34.56  79
35.67  56
36.23  100
38.19  86
55.91  55
64.44  18
68.10  68

---

Copy entry 9 word for word.
This entry pairs a crystal structure of Hf3SiCN with its computed powder XRD pattern. Radiation: Cu Kα (λ = 1.5418 Å). Structure: the GGA-PBE geometry in OQMD.
Intensities are scaled so that the largest is 100.

Crystal structure
a = 3.235 Å, b = 3.235 Å, c = 18.708 Å
α = 90.00°, β = 90.00°, γ = 120.00°
Element x y z (fractional)
Hf  0.000  0.000  0.000
Hf  0.000  0.000  0.500
Hf  0.333  0.667  0.139
Hf  0.333  0.667  0.360
Hf  0.667  0.333  0.640
Hf  0.667  0.333  0.861
Si  0.000  0.000  0.249
Si  0.000  0.000  0.751
C  0.333  0.667  0.574
C  0.667  0.333  0.426
N  0.333  0.667  0.931
N  0.667  0.333  0.069

Largest 8 diffraction maxima, low angle first, 2θ = 10–90°:
two_theta  intensity
32.31  54
33.39  29
37.42  100
38.50  23
40.21  54
55.01  24
56.93  36
70.83  23